Calculated PXRD pattern of MgCd2SnHg4 for copper Kα, from a structure optimized by DFT (GGA-PBE).
Kinematic intensities with the Lorentz-polarization factor, no thermal factor.

Top 10 peaks for 2θ = 10–80°, most intense first:
hkl 2 0 2, 35.4°, intensity 100
hkl 2 2 0, 33.7°, intensity 57
hkl 4 2 2, 61.3°, intensity 41
hkl 4 0 0, 48.3°, intensity 21
hkl 2 2 4, 64.6°, intensity 18
hkl 2 0 0, 23.6°, intensity 17
hkl 4 0 4, 74.8°, intensity 12
hkl 2 2 2, 43.0°, intensity 8
hkl 0 0 4, 53.4°, intensity 8
hkl 0 0 2, 25.9°, intensity 7

Cell and atoms:
```
data_MgCd2SnHg4
_symmetry_space_group_name_H-M 'I 4/m m m'
_symmetry_Int_Tables_number 139
_symmetry_space_group_name_Hall '-I 4 2'
_cell_length_a 7.532
_cell_length_b 7.532
_cell_length_c 6.868
_cell_angle_alpha 90.00
_cell_angle_beta 90.00
_cell_angle_gamma 90.00
loop_
_atom_site_label
_atom_site_type_symbol
_atom_site_fract_x
_atom_site_fract_y
_atom_site_fract_z
_atom_site_occupancy
Mg1 Mg 0.000 0.000 0.000 1
Cd1 Cd 0.000 0.500 0.000 1
Sn1 Sn 0.000 0.000 0.500 1
Hg1 Hg 0.250 0.250 0.250 1
```



Calculated PXRD pattern of SrMgCd2Hg for copper Kα, from a structure optimized by DFT (GGA-PBE).
Kinematic intensities with the Lorentz-polarization factor, no thermal factor.

Top 10 peaks for 2θ = 10–80°, most intense first:
hkl 0 2 0, 39.5°, intensity 100
hkl 1 1 2, 30.9°, intensity 78
hkl 1 0 1, 20.6°, intensity 76
hkl 0 1 3, 28.2°, intensity 69
hkl 2 2 0, 57.2°, intensity 67
hkl 1 1 4, 39.1°, intensity 51
hkl 1 1 0, 27.7°, intensity 37
hkl 2 0 0, 39.6°, intensity 31
hkl 2 1 3, 49.3°, intensity 30
hkl 1 2 1, 45.1°, intensity 21

Cell and atoms:
```
data_SrMgCd2Hg
_symmetry_space_group_name_H-M 'I m m 2'
_symmetry_Int_Tables_number 44
_cell_length_a 4.550
_cell_length_b 4.555
_cell_length_c 13.177
_cell_angle_alpha 90.00
_cell_angle_beta 90.00
_cell_angle_gamma 90.00
loop_
_symmetry_equiv_pos_as_xyz
'x,y,z'
'-x,-y,z'
'-x,y,z'
'x,-y,z'
'x+1/2,y+1/2,z+1/2'
'-x+1/2,-y+1/2,z+1/2'
'-x+1/2,y+1/2,z+1/2'
'x+1/2,-y+1/2,z+1/2'
loop_
_atom_site_label
_atom_site_type_symbol
_atom_site_fract_x
_atom_site_fract_y
_atom_site_fract_z
_atom_site_occupancy
Sr1 Sr 0.000 0.000 0.000 1
Mg1 Mg 0.000 0.500 0.757 1
Cd1 Cd 0.000 0.000 0.613 1
Cd2 Cd 0.000 0.500 0.252 1
Hg1 Hg 0.000 0.000 0.396 1
```



Calculated PXRD pattern of SrMgCdHg3 for copper Kα, from a structure optimized by DFT (GGA-PBE).
Kinematic intensities with the Lorentz-polarization factor, no thermal factor.

Top 10 peaks for 2θ = 10–80°, most intense first:
hkl 1 3 2, 33.0°, intensity 100
hkl 2 0 0, 40.4°, intensity 28
hkl 0 4 0, 21.8°, intensity 24
hkl 1 1 2, 29.0°, intensity 23
hkl 0 0 4, 41.1°, intensity 19
hkl 1 5 2, 39.9°, intensity 15
hkl 0 2 1, 14.8°, intensity 14
hkl 2 0 4, 59.0°, intensity 14
hkl 1 3 1, 27.8°, intensity 14
hkl 0 4 2, 29.9°, intensity 12

Cell and atoms:
```
data_SrMgCdHg3
_symmetry_space_group_name_H-M 'C m c m'
_symmetry_Int_Tables_number 63
_symmetry_space_group_name_Hall '-C 2c 2'
_cell_length_a 4.468
_cell_length_b 16.317
_cell_length_c 8.786
_cell_angle_alpha 90.00
_cell_angle_beta 90.00
_cell_angle_gamma 90.00
loop_
_atom_site_label
_atom_site_type_symbol
_atom_site_fract_x
_atom_site_fract_y
_atom_site_fract_z
_atom_site_occupancy
Sr1 Sr 0.000 0.204 0.250 1
Mg1 Mg 0.000 0.000 0.000 1
Cd1 Cd 0.000 0.485 0.750 1
Hg1 Hg 0.000 0.129 0.750 1
Hg2 Hg 0.000 0.365 0.007 1
```



Calculated PXRD pattern of SrMg2CdHg2 for copper Kα, from a structure optimized by DFT (GGA-PBE).
Kinematic intensities with the Lorentz-polarization factor, no thermal factor.

Top 10 peaks for 2θ = 10–80°, most intense first:
hkl 1 0 1, 24.2°, intensity 100
hkl 0 1 2, 31.9°, intensity 92
hkl 1 1 0, 36.9°, intensity 77
hkl 0 1 3, 41.9°, intensity 33
hkl 2 0 2, 49.5°, intensity 27
hkl 1 2 2, 63.3°, intensity 25
hkl 1 1 4, 62.4°, intensity 25
hkl 0 2 1, 44.6°, intensity 21
hkl 2 1 1, 59.2°, intensity 18
hkl 1 2 3, 69.8°, intensity 15

Cell and atoms:
```
data_SrMg2CdHg2
_symmetry_space_group_name_H-M 'P -3 m 1'
_symmetry_Int_Tables_number 164
_symmetry_space_group_name_Hall '-P 3 2"'
_cell_length_a 4.8781
_cell_length_b 4.8781
_cell_length_c 7.5174
_cell_angle_alpha 90.00
_cell_angle_beta 90.00
_cell_angle_gamma 120.00
loop_
_atom_site_label
_atom_site_type_symbol
_atom_site_fract_x
_atom_site_fract_y
_atom_site_fract_z
_atom_site_occupancy
Sr1 Sr 0.0000 0.0000 0.0000 1
Mg1 Mg 0.3333 0.6667 0.6535 1
Cd1 Cd 0.0000 0.0000 0.5000 1
Hg1 Hg 0.3333 0.6667 0.2456 1
```